Diffraction record for K3Tm3SbO8. The powder diffractogram is calculated, not measured: it uses the PBE geometry in Alexandria and Cu Ka.
Kinematic intensities with the Lorentz-polarization factor, no thermal factor.

Most intense lines, 15° ≤ 2θ ≤ 90°, most intense first:
d (Å)  intensity  hkl
2.497  1000  0 2 4
2.806  724  2 0 2
2.903  476  0 2 1
3.161  385  0 0 6
1.845  336  2 0 8
1.696  307  2 2 0
1.991  269  0 2 7
1.494  256  2 2 6
1.638  242  2 2 3
2.322  192  2 0 5

Structure:
abc: 6.7833 6.7833 18.9653
angles: 90.00 90.00 120.00
Space group R-3m (No. 166, hexagonal axes)
One atom of each set of equivalent atoms:
K 0.0000 0.5000 0.0000 x9
Tm 0.0000 0.5000 0.5000 x9
Sb 0.0000 0.0000 0.5000 x3
O 0.0000 0.0000 0.2256 x6
O 0.0141 0.5070 0.2249 x18